Entry 1:
Calculated powder diffraction line list
Compound: Ac3LaDy8
Radiation: Cu Kα, 1.54184 Å
Structure: a DFT-relaxed cell (PBE, Alexandria)
Peak positions follow from Bragg's law for the DFT cell and can differ from measured ones.

Unit cell a=6.5025 b=11.5521 c=12.0518 alpha=90.00 beta=90.00 gamma=90.00
Space group Immm (No. 71)
Unique sites:
Ac: 0.0000 0.0000 0.0000 x2
Ac: 0.0000 0.2466 0.5000 x4
La: 0.0000 0.5000 0.0000 x2
Dy: 0.0000 0.2508 0.1796 x8
Dy: 0.2487 0.0000 0.2557 x8

Principal peaks in the range 10° ≤ 2θ ≤ 80°, by intensity:
2θ (°), I (rel.), h k l
30.39, 1000, 1 2 3
30.96, 510, 0 4 0
31.58, 418, 2 2 0
35.00, 316, 2 2 2
21.86, 302, 1 2 1
50.38, 249, 3 2 3
63.23, 248, 2 4 6
31.26, 245, 2 0 2
29.65, 225, 0 0 4
53.63, 203, 2 0 6



Entry 2:
Calculated powder diffraction line list
Compound: Ac2La2Dy5
Radiation: Cu Kα, 1.54184 Å
Structure: a DFT-relaxed cell (PBE, Alexandria)
Peak positions follow from Bragg's law for the DFT cell and can differ from measured ones.

Unit cell a=22.1196 b=3.6453 c=8.4286 alpha=90.00 beta=98.26 gamma=90.00
Space group C2/m (No. 12)
Unique sites:
Ac: 0.1848 0.0000 0.1367 x4
La: 0.0475 0.5000 0.3482 x4
Dy: 0.0000 0.0000 0.0000 x2
Dy: 0.0969 0.0000 0.7283 x4
Dy: 0.1898 0.5000 0.5257 x4

Principal peaks in the range 10° ≤ 2θ ≤ 80°, by intensity:
2θ (°), I (rel.), h k l
28.73, 1000, 4 0 2
34.70, 612, 5 1 1
32.05, 427, 2 0 -3
26.77, 315, 1 1 -1
25.20, 310, 6 0 -1
33.79, 304, 3 1 -2
50.04, 233, 0 2 0
41.68, 205, 7 1 -2
30.11, 200, 6 0 -2
32.74, 199, 8 0 0



Entry 3:
Calculated powder diffraction line list
Compound: Ac2La5Dy2
Radiation: Cu Kα, 1.54184 Å
Structure: a DFT-relaxed cell (PBE, Alexandria)
Peak positions follow from Bragg's law for the DFT cell and can differ from measured ones.

Unit cell a=6.4899 b=6.5139 c=8.3694 alpha=82.75 beta=75.37 gamma=80.48
Space group P-1 (No. 2)
Unique sites:
Ac: 0.2234 0.4420 0.1169 x2
La: 0.0000 0.0000 0.0000 x1
La: 0.1131 0.2166 0.5561 x2
La: 0.4479 0.8889 0.2285 x2
Dy: 0.3339 0.6640 0.6597 x2

Principal peaks in the range 10° ≤ 2θ ≤ 80°, by intensity:
2θ (°), I (rel.), h k l
29.13, 1000, 0 2 1
33.72, 456, 2 -1 0
29.20, 332, 2 1 1
57.49, 299, 3 3 0
48.45, 248, 3 1 -1
33.90, 223, 1 1 3
57.67, 195, 4 0 1
48.54, 163, 2 3 2
78.51, 119, 5 2 0
57.84, 96, 3 2 4



Entry 4:
Calculated powder diffraction line list
Compound: AcLa5Dy8
Radiation: Cu Kα, 1.54184 Å
Structure: a DFT-relaxed cell (PBE, Alexandria)
Peak positions follow from Bragg's law for the DFT cell and can differ from measured ones.

Unit cell a=17.7521 b=3.6002 c=17.0964 alpha=90.00 beta=118.27 gamma=90.00
Space group C2/m (No. 12)
Unique sites:
Ac: 0.0000 0.0000 0.0000 x2
La: 0.0000 0.5000 0.5000 x2
La: 0.1447 0.0000 0.4407 x4
La: 0.2174 0.0000 0.1470 x4
Dy: 0.0779 0.5000 0.2262 x4
Dy: 0.0786 0.0000 0.7215 x4
Dy: 0.1472 0.5000 0.9359 x4
Dy: 0.2163 0.5000 0.6454 x4

Principal peaks in the range 10° ≤ 2θ ≤ 80°, by intensity:
2θ (°), I (rel.), h k l
30.53, 1000, 6 0 -2
30.64, 953, 3 1 -3
30.86, 925, 2 0 4
32.33, 896, 3 1 1
31.98, 859, 4 0 -6
29.47, 766, 1 1 -3
47.15, 376, 1 1 -7
56.49, 344, 2 0 -10
60.36, 290, 6 2 -2
40.75, 282, 5 1 1



Entry 5:
Calculated powder diffraction line list
Compound: Ac2LaDy6
Radiation: Cu Kα, 1.54184 Å
Structure: a DFT-relaxed cell (PBE, Alexandria)
Peak positions follow from Bragg's law for the DFT cell and can differ from measured ones.

Unit cell a=10.0443 b=10.0443 c=3.6269 alpha=90.00 beta=90.00 gamma=120.00
Space group P-3 (No. 147)
Unique sites:
Ac: 0.3333 0.6667 0.2704 x2
La: 0.0000 0.0000 0.5000 x1
Dy: 0.0198 0.6749 0.7760 x6

Principal peaks in the range 10° ≤ 2θ ≤ 80°, by intensity:
2θ (°), I (rel.), h k l
30.84, 1000, 3 0 0
30.40, 671, 1 1 1
43.85, 232, 4 -2 1
54.57, 229, 1 4 1
54.84, 205, 3 3 0
32.13, 203, 0 2 1
36.90, 198, 3 -1 1
60.19, 184, 3 0 2
64.25, 147, 6 0 0
26.63, 145, 1 0 1



Entry 6:
Calculated powder diffraction line list
Compound: AcLa2Dy9
Radiation: Cu Kα, 1.54184 Å
Structure: a DFT-relaxed cell (PBE, Alexandria)
Peak positions follow from Bragg's law for the DFT cell and can differ from measured ones.

Unit cell a=5.1156 b=5.1156 c=15.3401 alpha=90.00 beta=90.00 gamma=90.00
Space group P4/mmm (No. 123)
Unique sites:
Ac: 0.0000 0.0000 0.0000 x1
La: 0.0000 0.0000 0.3348 x2
Dy: 0.0000 0.5000 0.1703 x4
Dy: 0.0000 0.5000 0.5000 x2
Dy: 0.5000 0.5000 0.0000 x1
Dy: 0.5000 0.5000 0.3349 x2

Principal peaks in the range 10° ≤ 2θ ≤ 80°, by intensity:
2θ (°), I (rel.), h k l
30.27, 1000, 1 1 3
35.09, 507, 2 0 0
59.99, 433, 3 1 3
50.47, 363, 2 2 0
62.95, 125, 2 2 6
74.15, 58, 4 0 0
18.28, 6, 1 0 1



Entry 7:
Calculated powder diffraction line list
Compound: AcLaDy4
Radiation: Cu Kα, 1.54184 Å
Structure: a DFT-relaxed cell (PBE, Alexandria)
Peak positions follow from Bragg's law for the DFT cell and can differ from measured ones.

Unit cell a=3.5890 b=5.7729 c=9.9921 alpha=90.00 beta=90.06 gamma=90.00
Space group P2/m (No. 10)
Unique sites:
Ac: 0.0000 0.0000 0.0000 x1
La: 0.0000 0.5000 0.5000 x1
Dy: 0.5002 0.0000 0.3357 x2
Dy: 0.5003 0.5000 0.1694 x2

Principal peaks in the range 10° ≤ 2θ ≤ 80°, by intensity:
2θ (°), I (rel.), h k l
30.99, 1000, 0 2 0
30.67, 948, 1 0 2
54.93, 372, 1 1 5
44.16, 352, 1 2 2
60.78, 298, 2 2 0
55.13, 199, 0 3 3
73.20, 159, 1 3 5
78.31, 145, 2 3 3
64.60, 123, 0 4 0
50.88, 86, 2 0 0



Entry 8:
Calculated powder diffraction line list
Compound: AcLa2Dy6
Radiation: Cu Kα, 1.54184 Å
Structure: a DFT-relaxed cell (PBE, Alexandria)
Peak positions follow from Bragg's law for the DFT cell and can differ from measured ones.

Unit cell a=9.9643 b=9.9643 c=3.5977 alpha=90.00 beta=90.00 gamma=120.00
Space group P-3 (No. 147)
Unique sites:
Ac: 0.0000 0.0000 0.0000 x1
La: 0.3333 0.6667 0.7677 x2
Dy: 0.0195 0.6663 0.2740 x6

Principal peaks in the range 10° ≤ 2θ ≤ 80°, by intensity:
2θ (°), I (rel.), h k l
31.09, 1000, 3 0 0
30.65, 792, 1 1 1
44.22, 267, 4 -2 1
55.04, 262, 4 1 1
55.32, 193, 3 3 0
37.21, 158, 3 -1 1
64.83, 155, 6 0 0
32.40, 140, 0 2 1
60.72, 126, 3 0 2
26.85, 109, 1 0 1



Entry 9:
Calculated powder diffraction line list
Compound: Ac2La6Dy
Radiation: Cu Kα, 1.54184 Å
Structure: a DFT-relaxed cell (PBE, Alexandria)
Peak positions follow from Bragg's law for the DFT cell and can differ from measured ones.

Unit cell a=3.7790 b=3.7790 c=27.9237 alpha=90.00 beta=90.00 gamma=120.00
Space group P-6m2 (No. 187)
Unique sites:
Ac: 0.0000 0.0000 0.1721 x2
La: 0.0000 0.0000 0.3968 x2
La: 0.6667 0.3333 0.0610 x2
La: 0.6667 0.3333 0.2877 x2
Dy: 0.6667 0.3333 0.5000 x1

Principal peaks in the range 10° ≤ 2θ ≤ 80°, by intensity:
2θ (°), I (rel.), h k l
31.69, 1000, 1 0 5
30.16, 540, 1 0 4
27.25, 441, 1 0 0
28.77, 441, 0 0 9
57.08, 431, 1 1 9
48.16, 376, 1 1 0
53.83, 301, 1 0 14
40.04, 274, 1 0 9
28.92, 262, 1 0 3
58.80, 173, 2 0 5



Entry 10:
Calculated powder diffraction line list
Compound: Ac5La8Dy
Radiation: Cu Kα, 1.54184 Å
Structure: a DFT-relaxed cell (PBE, Alexandria)
Peak positions follow from Bragg's law for the DFT cell and can differ from measured ones.

Unit cell a=7.4655 b=9.1836 c=9.5253 alpha=114.29 beta=101.41 gamma=101.62
Space group P1 (No. 1)
Unique sites:
Ac: 0.0000 0.0000 0.0000 x1
Ac: 0.0312 0.8363 0.2937 x1
Ac: 0.3966 0.4253 0.1496 x1
Ac: 0.6985 0.1194 0.7087 x1
Ac: 0.9119 0.2571 0.4200 x1
La: 0.1059 0.5701 0.8657 x1
La: 0.2117 0.1337 0.7210 x1
La: 0.3085 0.6891 0.5659 x1
La: 0.4193 0.2547 0.4268 x1
La: 0.5263 0.8461 0.2741 x1
La: 0.6062 0.5726 0.8602 x1
La: 0.8157 0.6919 0.5633 x1
La: 0.8818 0.4110 0.1310 x1
Dy: 0.4976 0.0058 0.9985 x1

Principal peaks in the range 10° ≤ 2θ ≤ 80°, by intensity:
2θ (°), I (rel.), h k l
28.97, 1000, 0 1 -3
29.20, 964, 0 2 1
29.39, 876, 2 1 -2
30.37, 862, 0 3 -2
30.93, 731, 2 0 1
28.27, 686, 2 -2 0
44.83, 340, 2 3 -1
38.81, 325, -2 1 3
57.75, 291, 4 0 -4
57.88, 284, -4 3 2



Entry 11:
Calculated powder diffraction line list
Compound: Ac2LaDy4
Radiation: Cu Kα, 1.54184 Å
Structure: a DFT-relaxed cell (PBE, Alexandria)
Peak positions follow from Bragg's law for the DFT cell and can differ from measured ones.

Unit cell a=10.1431 b=10.1431 c=10.1711 alpha=90.00 beta=90.00 gamma=90.00
Space group I-42d (No. 122)
Unique sites:
Ac: 0.1188 0.2500 0.1250 x8
La: 0.0000 0.0000 0.5000 x4
Dy: 0.0824 0.1705 0.7835 x16

Principal peaks in the range 10° ≤ 2θ ≤ 80°, by intensity:
2θ (°), I (rel.), h k l
27.79, 1000, 3 1 0
33.01, 915, 2 1 3
55.86, 227, 6 1 1
39.71, 195, 4 0 2
43.69, 185, 4 2 2
21.43, 149, 1 1 2
41.73, 129, 3 3 2
58.94, 116, 5 1 4
55.74, 104, 1 1 6
45.54, 90, 4 1 3



Entry 12:
Calculated powder diffraction line list
Compound: Ac3La6Dy2
Radiation: Cu Kα, 1.54184 Å
Structure: a DFT-relaxed cell (PBE, Alexandria)
Peak positions follow from Bragg's law for the DFT cell and can differ from measured ones.

Unit cell a=3.7867 b=3.7867 c=101.4128 alpha=90.00 beta=90.00 gamma=120.00
Space group R-3m (No. 166, hexagonal axes)
Unique sites:
Ac: 0.0000 0.0000 0.0000 x3
Ac: 0.0000 0.0000 0.2708 x6
La: 0.0000 0.0000 0.0941 x6
La: 0.0000 0.0000 0.1818 x6
La: 0.0000 0.0000 0.3646 x6
Dy: 0.0000 0.0000 0.4561 x6

Principal peaks in the range 10° ≤ 2θ ≤ 80°, by intensity:
2θ (°), I (rel.), h k l
28.90, 1000, 0 1 11
33.54, 650, 1 0 22
57.11, 417, 2 0 11
29.06, 293, 0 0 33
48.05, 254, 1 1 0
48.26, 199, 0 1 44
59.88, 137, 0 2 22
77.74, 122, 1 2 11
57.32, 116, 1 0 55
77.95, 70, 0 2 55